1.
Structure and calculated powder X-ray diffraction pattern of LaTeAuS (the PBE geometry in OQMD; copper Kα).

Principal peaks in the range 2θ = 10–90°, sorted by position:
index  Position (°2θ)  I_rel
1 0 0  13.43  63
1 2 0  26.54  24
1 2 -1  28.55  24
1 1 2  29.36  38
2 1 -1  30.95  75
0 2 2  32.21  100
0 3 1  36.34  29
2 0 2  36.54  22
1 3 -1  38.66  35
0 0 4  45.89  23

Structural model:
```
data_LaTeAuS
_chemical_formula_sum 'La4 Te4 Au4 S4'
_cell_length_a 6.6047
_cell_length_b 7.8046
_cell_length_c 7.9255
_cell_angle_alpha 90.00
_cell_angle_beta 93.50
_cell_angle_gamma 90.00
_space_group_name_H-M_alt 'P 1 21/c 1'
_space_group_IT_number 14
_space_group_name_Hall '-P 2ybc'
loop_
_atom_site_label
_atom_site_fract_x
_atom_site_fract_y
_atom_site_fract_z
_atom_site_occupancy
La1 0.1512 0.0220 0.2705 1
Te1 0.3584 0.0941 0.7146 1
Au1 0.4444 0.6847 0.4823 1
S1 0.0691 0.7314 0.5012 1
```

2.
Structure and calculated powder X-ray diffraction pattern of Re3S4Br (the PBE geometry in OQMD; copper Kα).

Principal peaks in the range 2θ = 10–90°, sorted by position:
index  Position (°2θ)  I_rel
0 1 1  11.69  100
1 0 0  15.24  36
1 1 -1  15.96  18
0 0 2  17.74  6
1 2 2  32.07  11
2 0 -4  36.14  5
1 5 -2  43.04  12
1 3 3  43.41  5
1 2 -5  44.08  5
3 1 -1  44.35  8

Structural model:
```
data_Re3S4Br
_chemical_formula_sum 'Re12 S16 Br4'
_cell_length_a 6.4223
_cell_length_b 11.5951
_cell_length_c 11.0290
_cell_angle_alpha 90.00
_cell_angle_beta 115.00
_cell_angle_gamma 90.00
_space_group_name_H-M_alt 'P 1 21/c 1'
_space_group_IT_number 14
_space_group_name_Hall '-P 2ybc'
loop_
_atom_site_label
_atom_site_fract_x
_atom_site_fract_y
_atom_site_fract_z
_atom_site_occupancy
Re1 0.0360 0.1472 0.4465 1
Re2 0.0417 0.0593 0.6644 1
Re3 0.3109 0.5242 0.0632 1
S1 0.2171 0.7110 0.9590 1
S2 0.2674 0.0642 0.3434 1
S3 0.2948 0.6023 0.2596 1
S4 0.3595 0.1648 0.6621 1
Br1 0.1092 0.1353 0.9026 1
```

3.
Structure and calculated powder X-ray diffraction pattern of CdGeO3 (the PBE geometry in OQMD; copper Kα).

Principal peaks in the range 2θ = 10–90°, sorted by position:
index  Position (°2θ)  I_rel
1 0 4  30.47  100
1 1 0  32.29  62
0 2 4  44.99  30
0 1 8  52.97  20
2 1 4  56.45  31
3 0 0  57.58  22
2 0 8  63.41  10
1 2 8  72.97  14
1 3 4  75.91  14
1 1 12  86.20  8

Structural model:
```
data_CdGeO3
_chemical_formula_sum 'Cd6 Ge6 O18'
_cell_length_a 5.5453
_cell_length_b 5.5453
_cell_length_c 14.8216
_cell_angle_alpha 90.00
_cell_angle_beta 90.00
_cell_angle_gamma 120.00
_space_group_name_H-M_alt 'R -3 c'
_space_group_IT_number 167
_space_group_name_Hall '-R 3 2"c'
loop_
_atom_site_label
_atom_site_fract_x
_atom_site_fract_y
_atom_site_fract_z
_atom_site_occupancy
Cd1 0.0000 0.0000 0.0000 1
Ge1 0.0000 0.0000 0.2500 1
O1 0.0000 0.3094 0.2500 1
```

4.
Structure and calculated powder X-ray diffraction pattern of TmScGe4 (the PBE geometry in OQMD; copper Kα).

Principal peaks in the range 2θ = 10–90°, sorted by position:
index  Position (°2θ)  I_rel
0 0 2  11.47  17
0 1 3  28.47  14
0 0 6  34.90  18
1 1 3  36.91  100
1 0 6  42.22  11
0 2 0  45.87  14
2 0 0  47.01  13
2 2 0  67.78  9
1 3 3  78.93  11
3 1 3  80.60  9

Structural model:
```
data_TmScGe4
_chemical_formula_sum 'Tm2 Sc2 Ge8'
_cell_length_a 3.8661
_cell_length_b 3.9565
_cell_length_c 15.4247
_cell_angle_alpha 90.00
_cell_angle_beta 90.00
_cell_angle_gamma 90.00
_space_group_name_H-M_alt 'A m m 2'
_space_group_IT_number 38
_space_group_name_Hall 'A 2 -2'
loop_
_atom_site_label
_atom_site_fract_x
_atom_site_fract_y
_atom_site_fract_z
_atom_site_occupancy
Tm1 0.0000 0.0000 0.0000 1
Sc1 0.5000 0.0000 0.2054 1
Ge1 0.0000 0.0000 0.3513 1
Ge2 0.0000 0.0000 0.6633 1
Ge3 0.5000 0.0000 0.5519 1
Ge4 0.5000 0.0000 0.8467 1
```